For Rb2WCF6, a cell relaxed with PBE+U gives the simulated XRD peak list in this record (λ = 1.5418 Å (Cu Kα)).
Kinematic intensities with the Lorentz-polarization factor, no thermal factor.

Peak list (6 most intense, 2θ = 10–80°, by angle)
d/Å, Rel. int.
5.093, 84
3.234, 100
2.922, 37
2.534, 32
2.066, 29
1.741, 34

Structure:
Cell: 6.638 6.638 6.638 Å, 127.77 127.77 76.99°
Fractional coordinates of all 10 atoms:
Rb 0.250 0.750 0.500
Rb 0.750 0.250 0.500
W 0.000 0.000 0.000
C 0.500 0.500 0.000
F 0.202 0.202 0.000
F 0.257 0.257 0.514
F 0.257 0.743 0.000
F 0.743 0.257 0.000
F 0.743 0.743 0.486
F 0.798 0.798 0.000